[1]
Starting from a DFT-relaxed cell (GGA-PBE, OQMD), the powder diffractogram of Al16W13 was computed for Cu Kα.
Peak positions follow from Bragg's law for the DFT cell and can differ from measured ones.

Largest 10 diffraction maxima, most intense first, 2θ = 15–90°:
Position (°2θ), d [Å], I/Imax
22.03, 4.034, 100
42.93, 2.107, 90
38.66, 2.329, 88
46.88, 1.938, 41
66.96, 1.397, 32
69.96, 1.345, 28
33.94, 2.641, 26
50.59, 1.804, 23
89.90, 1.091, 21
40.84, 2.210, 19

Structural model:
Cell lengths 8.558, 8.558, 8.558 Å; angles 109.47, 109.47, 109.47 degrees
Positions (direct):
Al  0.000  0.000  0.662
Al  0.000  0.407  0.683
Al  0.000  0.662  0.000
Al  0.000  0.683  0.407
Al  0.276  0.593  0.593
Al  0.317  0.317  0.724
Al  0.317  0.724  0.317
Al  0.338  0.338  0.338
Al  0.407  0.000  0.683
Al  0.407  0.683  0.000
Al  0.593  0.276  0.593
Al  0.593  0.593  0.276
Al  0.662  0.000  0.000
Al  0.683  0.000  0.407
Al  0.683  0.407  0.000
Al  0.724  0.317  0.317
W  0.000  0.000  0.000
W  0.000  0.186  0.369
W  0.000  0.369  0.186
W  0.183  0.814  0.814
W  0.186  0.000  0.369
W  0.186  0.369  0.000
W  0.369  0.000  0.186
W  0.369  0.186  0.000
W  0.631  0.631  0.817
W  0.631  0.817  0.631
W  0.814  0.183  0.814
W  0.814  0.814  0.183
W  0.817  0.631  0.631

=====

[2]
Starting from a DFT-relaxed cell (GGA-PBE, OQMD), the powder diffractogram of Al8W7 was computed for Cu Kα.
Peak positions follow from Bragg's law for the DFT cell and can differ from measured ones.

Largest 10 diffraction maxima, most intense first, 2θ = 15–90°:
Position (°2θ), d [Å], I/Imax
42.19, 2.142, 100
43.25, 2.092, 93
20.42, 4.349, 76
35.09, 2.557, 54
40.94, 2.205, 53
38.16, 2.359, 45
68.58, 1.368, 41
26.91, 3.313, 29
67.83, 1.382, 25
53.84, 1.703, 20

Structural model:
Cell lengths 9.725, 9.725, 5.115 Å; angles 90.00, 90.00, 90.00 degrees
Positions (direct):
Al  0.040  0.372  0.000
Al  0.128  0.540  0.500
Al  0.172  0.828  0.246
Al  0.172  0.828  0.754
Al  0.328  0.328  0.254
Al  0.328  0.328  0.746
Al  0.372  0.040  0.000
Al  0.460  0.872  0.500
Al  0.540  0.128  0.500
Al  0.628  0.960  0.000
Al  0.672  0.672  0.254
Al  0.672  0.672  0.746
Al  0.828  0.172  0.246
Al  0.828  0.172  0.754
Al  0.872  0.460  0.500
Al  0.960  0.628  0.000
W  0.000  0.000  0.500
W  0.077  0.260  0.500
W  0.093  0.093  0.000
W  0.240  0.577  0.000
W  0.260  0.077  0.500
W  0.407  0.593  0.500
W  0.423  0.760  0.000
W  0.500  0.500  0.000
W  0.577  0.240  0.000
W  0.593  0.407  0.500
W  0.740  0.923  0.500
W  0.760  0.423  0.000
W  0.907  0.907  0.000
W  0.923  0.740  0.500

=====

[3]
Starting from a DFT-relaxed cell (GGA-PBE, OQMD), the powder diffractogram of Al17W12 was computed for Cu Kα.
Peak positions follow from Bragg's law for the DFT cell and can differ from measured ones.

Largest 10 diffraction maxima, most intense first, 2θ = 15–90°:
Position (°2θ), d [Å], I/Imax
22.02, 4.036, 100
42.91, 2.108, 69
38.64, 2.330, 56
46.86, 1.939, 42
66.93, 1.398, 18
69.93, 1.345, 18
89.85, 1.092, 16
55.80, 1.648, 15
82.86, 1.165, 12
78.62, 1.217, 12

Structural model:
Cell lengths 8.561, 8.561, 8.561 Å; angles 109.47, 109.47, 109.47 degrees
Positions (direct):
Al  0.000  0.000  0.000
Al  0.000  0.000  0.661
Al  0.000  0.405  0.683
Al  0.000  0.661  0.000
Al  0.000  0.683  0.405
Al  0.278  0.595  0.595
Al  0.317  0.317  0.722
Al  0.317  0.722  0.317
Al  0.339  0.339  0.339
Al  0.405  0.000  0.683
Al  0.405  0.683  0.000
Al  0.595  0.278  0.595
Al  0.595  0.595  0.278
Al  0.661  0.000  0.000
Al  0.683  0.000  0.405
Al  0.683  0.405  0.000
Al  0.722  0.317  0.317
W  0.000  0.188  0.368
W  0.000  0.368  0.188
W  0.180  0.812  0.812
W  0.188  0.000  0.368
W  0.188  0.368  0.000
W  0.368  0.000  0.188
W  0.368  0.188  0.000
W  0.632  0.632  0.820
W  0.632  0.820  0.632
W  0.812  0.180  0.812
W  0.812  0.812  0.180
W  0.820  0.632  0.632

=====

[4]
Starting from a DFT-relaxed cell (GGA-PBE, OQMD), the powder diffractogram of Al2W11 was computed for Cu Kα.
Peak positions follow from Bragg's law for the DFT cell and can differ from measured ones.

Largest 10 diffraction maxima, most intense first, 2θ = 15–90°:
Position (°2θ), d [Å], I/Imax
39.73, 2.269, 100
43.25, 2.092, 51
39.43, 2.285, 33
19.88, 4.466, 32
41.35, 2.184, 29
72.32, 1.307, 28
42.04, 2.149, 25
65.11, 1.433, 24
39.97, 2.256, 24
85.63, 1.134, 22

Structural model:
Cell lengths 9.626, 9.626, 9.626 Å; angles 31.50, 31.50, 31.50 degrees
Positions (direct):
Al  0.048  0.048  0.048
Al  0.952  0.952  0.952
W  0.085  0.589  0.589
W  0.151  0.151  0.151
W  0.333  0.333  0.333
W  0.411  0.411  0.915
W  0.411  0.915  0.411
W  0.500  0.500  0.500
W  0.589  0.085  0.589
W  0.589  0.589  0.085
W  0.667  0.667  0.667
W  0.849  0.849  0.849
W  0.915  0.411  0.411